Computed XRD peak list of Sr4NiSn3O12 for Cu Kα, 1.54184 Å, from a GGA+U-relaxed structure.

Peak list (8 most intense, 2θ from 10° to 80°, low angle first)
| two_theta | Rel. int. |
| --- | --- |
| 15.36 | 3 |
| 21.78 | 5 |
| 31.00 | 100 |
| 44.41 | 34 |
| 49.98 | 2 |
| 55.14 | 41 |
| 64.61 | 21 |
| 73.38 | 18 |

Cell and atoms:
```
20
Lattice="-4.0801 4.0801 4.0801 4.0801 -4.0801 4.0801 4.0801 4.0801 -4.0801" Properties=species:S:1:pos:R:3 pbc="T T T"
Sr 2.0401 2.0401 -2.0401
Sr 2.0401 -2.0401 2.0401
Sr -2.0401 2.0401 2.0401
Sr 2.0401 2.0401 2.0401
Ni 0.0000 0.0000 0.0000
Sn 4.0801 0.0000 0.0000
Sn 0.0000 4.0801 0.0000
Sn 0.0000 0.0000 4.0801
O 2.0272 0.0000 0.0000
O 6.1330 0.0000 0.0000
O 0.0000 2.0272 0.0000
O 0.0000 0.0000 2.0272
O 4.0801 2.0401 0.0000
O 4.0801 0.0000 2.0401
O 2.0401 4.0801 0.0000
O 2.0401 0.0000 4.0801
O 0.0000 4.0801 2.0401
O 0.0000 2.0401 4.0801
O 0.0000 6.1330 0.0000
O 0.0000 0.0000 6.1330
```